Starting from a structure optimized by DFT (GGA-PBE), the X-ray diffraction stick pattern of CaAl3Au was computed for Cu Kα.
Peak positions follow from Bragg's law for the DFT cell and can differ from measured ones.

The 10 most intense peaks (2θ from 5° to 70°), sorted by position:
2θ (°), intensity, h k l
15.0, 63, 0 0 2
22.7, 100, 1 0 1
30.4, 39, 1 1 0
31.3, 70, 1 0 3
34.1, 60, 1 1 2
43.4, 34, 1 1 4
43.6, 33, 2 0 0
44.1, 43, 1 0 5
54.6, 29, 2 1 3
63.7, 28, 2 1 5

Crystal structure
Lattice parameters (Å, degrees): 4.1550 4.1550 11.8130 90.00 90.00 90.00
Space group I4mm (No. 107)
Inequivalent atoms, fractional coordinates:
Ca  0.0000  0.0000  0.0000 x2
Al  0.0000  0.0000  0.6056 x2
Al  0.0000  0.5000  0.2510 x4
Au  0.0000  0.0000  0.3894 x2